(1)
AgHg2Se: calculated powder XRD pattern (CuKα), based on a crystal structure in Alexandria, relaxed with PBE.
Lines closer than 0.1° are merged.

Crystal structure
abc: 14.2358 3.8792 3.8828
angles: 90.00 105.49 90.00
Space group C2/m (No. 12)
Asymmetric unit:
Ag  0.0000  0.0000  0.0000 (multiplicity 2)
Hg  0.2088  0.5000  0.7096 (multiplicity 4)
Se  0.0000  0.5000  0.5000 (multiplicity 2)

Principal peaks in the range 15° ≤ 2θ ≤ 90°, low angle first:
hkl 4 0 0, 2θ 25.98, intensity 40; hkl 2 0 1, 2θ 30.11, intensity 17; hkl 4 0 -1, 2θ 30.24, intensity 51; hkl 1 1 -1, 2θ 32.63, intensity 100; hkl 5 1 0, 2θ 40.26, intensity 20; hkl 3 1 1, 2θ 42.08, intensity 22; hkl 5 1 -1, 2θ 42.26, intensity 22; hkl 0 2 0, 2θ 46.82, intensity 37


(2)
SiAg2Hg: calculated powder XRD pattern (CuKα), based on a crystal structure in Alexandria, relaxed with PBE.
Lines closer than 0.1° are merged.

Crystal structure
abc: 2.8493 4.3076 13.3513
angles: 90.00 90.00 90.00
Space group Imm2 (No. 44)
Asymmetric unit:
Si  0.0000  0.0000  0.0000 (multiplicity 2)
Ag  0.0000  0.0000  0.4581 (multiplicity 2)
Ag  0.0000  0.5000  0.6661 (multiplicity 2)
Hg  0.0000  0.5000  0.2805 (multiplicity 2)

Principal peaks in the range 15° ≤ 2θ ≤ 90°, low angle first:
hkl 0 1 3, 2θ 28.85, intensity 100; hkl 1 0 1, 2θ 32.12, intensity 26; hkl 0 1 5, 2θ 39.71, intensity 18; hkl 1 1 2, 2θ 40.28, intensity 85; hkl 0 2 0, 2θ 41.95, intensity 27; hkl 1 0 5, 2θ 46.62, intensity 30; hkl 1 2 5, 2θ 64.49, intensity 22; hkl 1 1 8, 2θ 68.72, intensity 27


(3)
Sm6AgHg2: calculated powder XRD pattern (CuKα), based on a crystal structure in Alexandria, relaxed with PBE.
Lines closer than 0.1° are merged.

Crystal structure
abc: 5.2319 12.8898 15.6733
angles: 90.00 90.00 90.00
Space group Fmmm (No. 69)
Asymmetric unit:
Sm  0.0000  0.1496  0.0000 (multiplicity 8)
Sm  0.0000  0.1524  0.3342 (multiplicity 16)
Ag  0.0000  0.0000  0.5000 (multiplicity 4)
Hg  0.0000  0.0000  0.1672 (multiplicity 8)

Principal peaks in the range 15° ≤ 2θ ≤ 90°, low angle first:
hkl 1 3 3, 2θ 31.94, intensity 100; hkl 2 0 0, 2θ 34.30, intensity 44; hkl 0 6 0, 2θ 42.06, intensity 10; hkl 2 0 6, 2θ 49.30, intensity 16; hkl 2 6 0, 2θ 55.35, intensity 18; hkl 3 3 3, 2θ 59.95, intensity 33; hkl 2 6 6, 2θ 66.76, intensity 10; hkl 3 3 9, 2θ 81.21, intensity 7


(4)
Sm5Ag2Hg2: calculated powder XRD pattern (CuKα), based on a crystal structure in Alexandria, relaxed with PBE.
Lines closer than 0.1° are merged.

Crystal structure
abc: 17.0543 7.4798 8.0224
angles: 90.00 90.00 90.00
Space group Cmce (No. 64)
Asymmetric unit:
Sm  0.0000  0.0000  0.0000 (multiplicity 4)
Sm  0.1384  0.1756  0.3248 (multiplicity 16)
Ag  0.0000  0.1200  0.6333 (multiplicity 8)
Hg  0.2154  0.0000  0.0000 (multiplicity 8)

Principal peaks in the range 15° ≤ 2θ ≤ 90°, low angle first:
hkl 3 1 2, 2θ 29.76, intensity 100; hkl 4 0 2, 2θ 30.60, intensity 87; hkl 5 1 1, 2θ 30.89, intensity 63; hkl 4 2 0, 2θ 31.83, intensity 87; hkl 0 2 2, 2θ 32.74, intensity 81; hkl 4 2 1, 2θ 33.78, intensity 85; hkl 1 1 3, 2θ 36.06, intensity 64; hkl 1 3 1, 2θ 38.17, intensity 47


(5)
Sm12AgHg6: calculated powder XRD pattern (CuKα), based on a crystal structure in Alexandria, relaxed with PBE.
Lines closer than 0.1° are merged.

Crystal structure
abc: 13.5551 13.5551 12.2573
angles: 90.00 90.00 120.00
Space group R-3 (No. 148, hexagonal axes)
Asymmetric unit:
Sm  0.0334  0.8235  0.3926 (multiplicity 18)
Sm  0.0480  0.8378  0.8877 (multiplicity 18)
Ag  0.0000  0.0000  0.0000 (multiplicity 3)
Hg  0.0482  0.7804  0.6447 (multiplicity 18)

Principal peaks in the range 15° ≤ 2θ ≤ 90°, low angle first:
hkl 3 -1 1, 2θ 21.30, intensity 82; hkl 0 0 3, 2θ 21.75, intensity 22; hkl 1 0 4, 2θ 30.14, intensity 28; hkl 4 -1 2, 2θ 31.10, intensity 39; hkl 4 1 0, 2θ 35.03, intensity 100; hkl 3 -1 4, 2θ 35.61, intensity 86; hkl 4 1 3, 2θ 41.61, intensity 18; hkl 2 4 4, 2θ 50.81, intensity 23


(6)
Sm8Ag2Hg: calculated powder XRD pattern (CuKα), based on a crystal structure in Alexandria, relaxed with PBE.
Lines closer than 0.1° are merged.

Crystal structure
abc: 16.3055 5.4166 8.5564
angles: 90.00 120.79 90.00
Space group C2/m (No. 12)
Asymmetric unit:
Sm  0.0699  0.0000  0.2210 (multiplicity 4)
Sm  0.0963  0.5000  0.9549 (multiplicity 4)
Sm  0.1397  0.0000  0.6947 (multiplicity 4)
Sm  0.1824  0.5000  0.4578 (multiplicity 4)
Ag  0.2249  0.0000  0.1171 (multiplicity 4)
Hg  0.0000  0.5000  0.5000 (multiplicity 2)

Principal peaks in the range 15° ≤ 2θ ≤ 90°, low angle first:
hkl 4 0 -3, 2θ 32.12, intensity 44; hkl 5 1 -1, 2θ 32.31, intensity 98; hkl 1 1 2, 2θ 32.67, intensity 100; hkl 0 2 0, 2θ 33.08, intensity 53; hkl 4 2 -3, 2θ 46.78, intensity 31; hkl 6 2 1, 2θ 58.21, intensity 21; hkl 5 3 -1, 2θ 58.60, intensity 18; hkl 1 3 2, 2θ 58.82, intensity 18


(7)
SmAg3Hg: calculated powder XRD pattern (CuKα), based on a crystal structure in Alexandria, relaxed with PBE.
Lines closer than 0.1° are merged.

Crystal structure
abc: 4.7005 28.8169 3.3791
angles: 90.00 90.00 90.00
Space group Cmmm (No. 65)
Asymmetric unit:
Sm  0.0000  0.1768  0.0000 (multiplicity 4)
Ag  0.0000  0.0621  0.5000 (multiplicity 4)
Ag  0.0000  0.2745  0.5000 (multiplicity 4)
Ag  0.0000  0.4536  0.0000 (multiplicity 4)
Hg  0.0000  0.3743  0.5000 (multiplicity 4)

Principal peaks in the range 15° ≤ 2θ ≤ 90°, low angle first:
hkl 0 6 1, 2θ 32.40, intensity 18; hkl 1 9 0, 2θ 33.87, intensity 35; hkl 1 3 1, 2θ 33.98, intensity 100; hkl 0 8 1, 2θ 36.46, intensity 22; hkl 2 0 0, 2θ 38.30, intensity 41; hkl 1 11 0, 2θ 39.40, intensity 49; hkl 1 9 1, 2θ 43.43, intensity 25; hkl 3 3 1, 2θ 66.46, intensity 28


(8)
SmAg2Hg4: calculated powder XRD pattern (CuKα), based on a crystal structure in Alexandria, relaxed with PBE.
Lines closer than 0.1° are merged.

Crystal structure
abc: 4.8633 4.8633 7.2782
angles: 90.00 90.00 90.00
Space group P4/mmm (No. 123)
Asymmetric unit:
Sm  0.0000  0.0000  0.0000 (multiplicity 1)
Ag  0.0000  0.0000  0.5000 (multiplicity 1)
Ag  0.5000  0.5000  0.0000 (multiplicity 1)
Hg  0.0000  0.5000  0.2783 (multiplicity 4)

Principal peaks in the range 15° ≤ 2θ ≤ 90°, low angle first:
hkl 1 1 0, 2θ 25.91, intensity 16; hkl 1 1 1, 2θ 28.71, intensity 12; hkl 1 1 2, 2θ 35.93, intensity 100; hkl 2 0 0, 2θ 36.98, intensity 56; hkl 2 2 0, 2θ 53.30, intensity 26; hkl 2 0 4, 2θ 63.90, intensity 15; hkl 3 1 2, 2θ 65.94, intensity 34; hkl 2 2 4, 2θ 76.19, intensity 11


(9)
TbSmAgHg: calculated powder XRD pattern (CuKα), based on a crystal structure in Alexandria, relaxed with PBE.
Lines closer than 0.1° are merged.

Crystal structure
abc: 3.7119 3.7119 7.4890
angles: 90.00 90.00 90.00
Space group P4mm (No. 99)
Asymmetric unit:
Tb  0.0000  0.0000  0.0000 (multiplicity 1)
Sm  0.0000  0.0000  0.5110 (multiplicity 1)
Ag  0.5000  0.5000  0.7655 (multiplicity 1)
Hg  0.5000  0.5000  0.2488 (multiplicity 1)

Principal peaks in the range 15° ≤ 2θ ≤ 90°, low angle first:
hkl 1 0 2, 2θ 34.01, intensity 100; hkl 1 1 0, 2θ 34.16, intensity 50; hkl 0 0 4, 2θ 48.63, intensity 9; hkl 2 0 0, 2θ 49.09, intensity 18; hkl 1 1 4, 2θ 60.77, intensity 18; hkl 2 1 2, 2θ 61.06, intensity 37; hkl 2 0 4, 2θ 71.59, intensity 11; hkl 3 1 0, 2θ 82.06, intensity 16


(10)
Ag2Sn2Hg: calculated powder XRD pattern (CuKα), based on a crystal structure in Alexandria, relaxed with PBE.
Lines closer than 0.1° are merged.

Crystal structure
abc: 9.4904 4.5816 5.8284
angles: 90.00 102.88 90.00
Space group C2/m (No. 12)
Asymmetric unit:
Ag  0.2062  0.0000  0.1222 (multiplicity 4)
Sn  0.1591  0.0000  0.5959 (multiplicity 4)
Hg  0.0000  0.5000  0.0000 (multiplicity 2)

Principal peaks in the range 15° ≤ 2θ ≤ 90°, low angle first:
hkl 0 0 1, 2θ 15.60, intensity 25; hkl 1 1 -1, 2θ 25.48, intensity 32; hkl 1 1 1, 2θ 28.04, intensity 43; hkl 2 0 -2, 2θ 33.12, intensity 37; hkl 3 1 0, 2θ 35.08, intensity 100; hkl 0 2 0, 2θ 39.33, intensity 44; hkl 1 1 2, 2θ 40.36, intensity 58; hkl 3 1 -2, 2θ 42.98, intensity 26


(11)
Ag6SnHg: calculated powder XRD pattern (CuKα), based on a crystal structure in Alexandria, relaxed with PBE.
Lines closer than 0.1° are merged.

Crystal structure
abc: 4.2978 8.3292 8.6177
angles: 90.00 90.00 90.00
Space group Amm2 (No. 38)
Asymmetric unit:
Ag  0.0000  0.0000  0.0000 (multiplicity 2)
Ag  0.0000  0.2496  0.2430 (multiplicity 4)
Ag  0.5000  0.0000  0.2381 (multiplicity 2)
Ag  0.5000  0.2503  0.4980 (multiplicity 4)
Sn  0.5000  0.0000  0.7557 (multiplicity 2)
Hg  0.0000  0.0000  0.4817 (multiplicity 2)

Principal peaks in the range 15° ≤ 2θ ≤ 90°, low angle first:
hkl 1 2 2, 2θ 36.57, intensity 100; hkl 0 0 4, 2θ 41.93, intensity 16; hkl 2 0 0, 2θ 42.05, intensity 17; hkl 0 4 0, 2θ 43.46, intensity 15; hkl 2 4 0, 2θ 62.02, intensity 20; hkl 1 2 6, 2θ 73.09, intensity 12; hkl 3 2 2, 2θ 73.24, intensity 13; hkl 1 6 2, 2θ 75.24, intensity 12


(12)
Ag3Sn5Hg: calculated powder XRD pattern (CuKα), based on a crystal structure in Alexandria, relaxed with PBE.
Lines closer than 0.1° are merged.

Crystal structure
abc: 10.3544 9.6493 10.7361
angles: 90.00 112.97 90.00
Space group C2/m (No. 12)
Asymmetric unit:
Ag  0.0000  0.0000  0.0000 (multiplicity 2)
Ag  0.0000  0.5000  0.5000 (multiplicity 2)
Ag  0.0038  0.0000  0.7382 (multiplicity 4)
Ag  0.0275  0.5000  0.2176 (multiplicity 4)
Sn  0.0000  0.2874  0.0000 (multiplicity 4)
Sn  0.0896  0.2567  0.3995 (multiplicity 8)
Sn  0.1822  0.0000  0.5963 (multiplicity 4)
Sn  0.2225  0.5000  0.0526 (multiplicity 4)
Hg  0.2393  0.5000  0.7580 (multiplicity 4)

Principal peaks in the range 15° ≤ 2θ ≤ 90°, low angle first:
hkl 0 2 0, 2θ 18.39, intensity 91; hkl 0 2 2, 2θ 25.81, intensity 51; hkl 3 1 -3, 2θ 31.93, intensity 70; hkl 2 2 -3, 2θ 32.20, intensity 60; hkl 1 1 3, 2θ 33.37, intensity 72; hkl 0 4 0, 2θ 37.27, intensity 100; hkl 3 3 -3, 2θ 41.71, intensity 55; hkl 1 3 3, 2θ 42.86, intensity 50